Diffraction record for NaPrTcO6. The powder diffractogram is calculated, not measured: it uses a PBE-relaxed structure and Cu Kα X-rays.
Lines closer than 0.1° are merged.

Crystal structure
```
data_NaPrTcO6
_chemical_formula_sum 'Na1 Pr1 Tc1 O6'
_cell_length_a 4.943
_cell_length_b 5.579
_cell_length_c 5.605
_cell_angle_alpha 60.21
_cell_angle_beta 89.15
_cell_angle_gamma 88.14
_space_group_name_H-M_alt 'P 1'
_space_group_IT_number 1
loop_
_space_group_symop_operation_xyz
'x,y,z'
loop_
_atom_site_label
_atom_site_fract_x
_atom_site_fract_y
_atom_site_fract_z
Na1 0.000 0.000 0.000
Pr1 0.500 0.674 0.653
Tc1 0.999 0.322 0.356
O1 0.188 0.601 0.013
O2 0.216 0.050 0.339
O3 0.234 0.352 0.583
O4 0.763 0.066 0.584
O5 0.781 0.613 0.337
O6 0.814 0.388 0.011
```

Most intense lines, 15° ≤ 2θ ≤ 90°, in order of rising 2θ:
2θ 18.27, rel. 66, hkl 0 0 1
2θ 25.40, rel. 100, hkl 1 1 0
2θ 25.70, rel. 85, hkl 1 0 1
2θ 26.14, rel. 90, hkl 1 -1 0
2θ 31.93, rel. 52, hkl 0 1 2
2θ 41.38, rel. 31, hkl 1 0 -2
2θ 48.74, rel. 36, hkl 2 1 2
2θ 49.60, rel. 32, hkl 2 -1 1